# 1
# TeH2I
Computed PXRD pattern, Cu Kα (λ = 1.5418 Å). Input: a structure optimized by DFT (GGA-PBE).
Neutral-atom scattering factors, no anomalous dispersion.

Structure:
```
TeH2I
1.0
6.192 0.000 0.000
0.000 3.138 0.000
-3.023 0.000 6.178
Te H I
1 2 1
Cartesian
0.000 0.000 0.000
1.268 1.569 2.883
1.900 1.569 3.295
3.096 0.000 0.000
```

Peak list (8 most intense, 5 to 70 degrees two-theta, low angle first)
14.34 deg, I 100
28.44 deg, I 20
28.87 deg, I 39
31.99 deg, I 30
32.19 deg, I 15
32.50 deg, I 14
40.99 deg, I 37
43.48 deg, I 12



# 2
# TeH2I8
Computed PXRD pattern, Cu Kα (λ = 1.5418 Å). Input: a structure optimized by DFT (GGA-PBE).
Neutral-atom scattering factors, no anomalous dispersion.

Structure:
```
TeH2I8
1.0
7.677 0.000 0.000
1.366 8.229 0.000
1.588 2.854 8.670
Te H I
1 2 8
Cartesian
0.000 0.000 0.000
4.194 9.373 5.647
6.438 1.709 3.023
1.684 5.581 1.292
2.849 8.417 4.159
5.157 10.336 6.745
4.222 5.554 3.382
6.409 5.528 5.289
5.475 0.746 1.925
7.783 2.665 4.512
8.948 5.501 7.378
```

Peak list (8 most intense, 5 to 70 degrees two-theta, low angle first)
12.66 deg, I 34
15.40 deg, I 53
21.13 deg, I 100
21.25 deg, I 63
22.35 deg, I 29
22.75 deg, I 31
28.03 deg, I 49
32.65 deg, I 31



# 3
# Te4H2I3
Computed PXRD pattern, Cu Kα (λ = 1.5418 Å). Input: a structure optimized by DFT (GGA-PBE).
Neutral-atom scattering factors, no anomalous dispersion.

Structure:
```
Te4H2I3
1.0
-2.973 8.412 7.449
2.973 -8.412 7.449
2.973 8.412 -7.449
Te H I
8 4 6
Cartesian
2.973 -2.369 3.629
2.973 6.043 -3.629
0.000 1.194 0.862
0.000 7.217 0.862
2.973 1.194 6.587
2.973 7.217 6.587
0.000 2.369 11.078
0.000 10.780 3.820
2.973 -5.814 5.302
2.973 -2.598 5.302
0.000 11.009 2.147
0.000 14.225 2.147
2.973 1.249 1.462
0.000 4.206 0.345
0.000 1.249 5.987
2.973 7.162 1.462
2.973 4.206 7.104
0.000 7.162 5.987
```

Peak list (8 most intense, 5 to 70 degrees two-theta, low angle first)
18.63 deg, I 100
23.34 deg, I 31
23.93 deg, I 77
27.17 deg, I 38
30.06 deg, I 59
34.17 deg, I 28
35.60 deg, I 39
38.78 deg, I 43